(1)
Computed powder diffractogram
Compound: Cr3Ni2Ir6
Radiation: a wavelength of 1.5418 Å
Structure: the GGA-PBE geometry in Alexandria
Kinematic intensities with the Lorentz-polarization factor, no thermal factor.

Structural model:
Unit cell a=5.0242 b=5.0579 c=6.7686 alpha=74.10 beta=73.03 gamma=67.34
Space group P-1 (No. 2)
Unique sites:
Cr 0.0000 0.0000 0.0000 x1
Cr 0.4781 0.7412 0.5327 x2
Ni 0.3696 0.5914 0.1450 x2
Ir 0.0155 0.2153 0.5602 x2
Ir 0.1412 0.4657 0.8030 x2
Ir 0.3803 0.0793 0.1851 x2

Peak list (6 most intense, 2θ = 10–80°, sorted by position)
34.8°, intensity 72
40.9°, intensity 75
43.1°, intensity 100
44.2°, intensity 87
44.4°, intensity 72
45.2°, intensity 76

***

(2)
Computed powder diffractogram
Compound: Np2CrSi4Ir3
Radiation: a wavelength of 1.5418 Å
Structure: the GGA-PBE geometry in Alexandria
Kinematic intensities with the Lorentz-polarization factor, no thermal factor.

Structural model:
Unit cell a=4.1097 b=4.1097 c=9.9517 alpha=90.00 beta=90.00 gamma=90.00
Space group P-4m2 (No. 115)
Unique sites:
Np 0.0000 0.5000 0.2501 x2
Cr 0.0000 0.0000 0.5000 x1
Si 0.0000 0.0000 0.0000 x1
Si 0.0000 0.5000 0.6319 x2
Si 0.5000 0.5000 0.0000 x1
Ir 0.0000 0.5000 0.8729 x2
Ir 0.5000 0.5000 0.5000 x1

Peak list (6 most intense, 2θ = 10–80°, sorted by position)
30.8°, intensity 42
34.8°, intensity 100
35.8°, intensity 95
44.1°, intensity 63
51.0°, intensity 38
57.3°, intensity 49